Structure and computed powder X-ray diffraction pattern of LiDy2RhO5 (a structure optimized by DFT (PBE); Cu Kα).
Lines closer than 0.1° are merged.

Atomic structure:
a = 6.518 Å, b = 6.518 Å, c = 5.734 Å
α = 90.00°, β = 90.00°, γ = 90.00°
Fractional coordinates of all 18 atoms:
Li  0.000  0.000  0.000
Li  0.500  0.500  0.000
Dy  0.176  0.324  0.500
Dy  0.324  0.824  0.500
Dy  0.676  0.176  0.500
Dy  0.824  0.676  0.500
Rh  0.000  0.500  0.000
Rh  0.500  0.000  0.000
O  0.000  0.000  0.500
O  0.139  0.639  0.255
O  0.139  0.639  0.745
O  0.361  0.139  0.255
O  0.361  0.139  0.745
O  0.500  0.500  0.500
O  0.639  0.861  0.255
O  0.639  0.861  0.745
O  0.861  0.361  0.255
O  0.861  0.361  0.745

The 10 most intense peaks (10° ≤ 2θ ≤ 80°), sorted by position:
2theta, I/Imax
15.45, 88
19.26, 66
30.67, 41
31.20, 46
31.58, 100
34.51, 100
44.31, 73
46.83, 54
57.67, 24
60.77, 28


Structure and computed powder X-ray diffraction pattern of LiDy2RuO6 (a structure optimized by DFT (PBE); Cu Kα).
Lines closer than 0.1° are merged.

Atomic structure:
a = 5.718 Å, b = 5.718 Å, c = 5.718 Å
α = 57.55°, β = 57.55°, γ = 57.55°
Fractional coordinates of all 10 atoms:
Li  0.000  0.000  0.000
Dy  0.269  0.269  0.269
Dy  0.772  0.772  0.772
Ru  0.480  0.480  0.480
O  0.126  0.690  0.357
O  0.223  0.605  0.826
O  0.357  0.126  0.690
O  0.605  0.826  0.223
O  0.690  0.357  0.126
O  0.826  0.223  0.605

The 10 most intense peaks (10° ≤ 2θ ≤ 80°), sorted by position:
2theta, I/Imax
19.63, 24
22.43, 80
31.33, 100
32.53, 94
37.81, 25
39.87, 24
45.79, 43
50.75, 45
57.29, 40
58.04, 28


Structure and computed powder X-ray diffraction pattern of Li2DyTeO4 (a structure optimized by DFT (PBE); Cu Kα).
Lines closer than 0.1° are merged.

Atomic structure:
a = 5.695 Å, b = 5.695 Å, c = 5.695 Å
α = 131.22°, β = 131.22°, γ = 71.46°
Fractional coordinates of all 8 atoms:
Li  0.000  0.000  0.000
Li  0.750  0.250  0.500
Dy  0.250  0.750  0.500
Te  0.500  0.500  0.000
O  0.004  0.504  0.500
O  0.255  0.255  0.000
O  0.496  0.996  0.500
O  0.745  0.745  0.000

The 10 most intense peaks (10° ≤ 2θ ≤ 80°), sorted by position:
2theta, I/Imax
21.19, 100
33.18, 43
34.80, 27
38.27, 37
38.96, 17
44.16, 29
52.68, 17
55.24, 12
55.76, 23
65.98, 14